# 1
# Nd2Ni4Ge3Au
Calculated powder X-ray diffraction pattern, a wavelength of 1.5418 Å. Input: DFT lattice parameters and positions (GGA-PBE).
No peak broadening, texture or thermal motion is included.

Top 10 peaks for 5° ≤ 2θ ≤ 70°, by angle:
hkl 1 0 1, 2θ 22.95, I = 13; hkl 1 0 3, 2θ 34.89, I = 48; hkl 1 1 2, 2θ 35.26, I = 100; hkl 2 0 0, 2θ 42.81, I = 55; hkl 1 1 4, 2θ 48.27, I = 12; hkl 1 0 5, 2θ 51.75, I = 17; hkl 2 1 3, 2θ 56.37, I = 24; hkl 2 2 0, 2θ 62.15, I = 20; hkl 1 1 6, 2θ 65.53, I = 14; hkl 2 1 5, 2θ 69.34, I = 15

Crystal structure
Unit cell a=4.2251 b=4.2251 c=9.7230 alpha=90.00 beta=90.00 gamma=90.00
Space group P-4m2 (No. 115)
One atom of each set of equivalent atoms:
Nd1 0.0000 0.5000 0.2464 [2 per cell]
Ni1 0.0000 0.0000 0.0000 [1 per cell]
Ni2 0.0000 0.5000 0.6400 [2 per cell]
Ni3 0.5000 0.5000 0.0000 [1 per cell]
Ge1 0.0000 0.5000 0.8799 [2 per cell]
Ge2 0.5000 0.5000 0.5000 [1 per cell]
Au1 0.0000 0.0000 0.5000 [1 per cell]


# 2
# AgBr2Cl8
Calculated powder X-ray diffraction pattern, a wavelength of 1.5418 Å. Input: DFT lattice parameters and positions (GGA-PBE).
No peak broadening, texture or thermal motion is included.

Top 10 peaks for 5° ≤ 2θ ≤ 70°, by angle:
hkl 1 1 -1, 2θ 16.06, I = 100; hkl 0 2 0, 2θ 21.22, I = 29; hkl 2 0 1, 2θ 22.10, I = 19; hkl 0 0 2, 2θ 24.21, I = 26; hkl 0 2 1, 2θ 24.47, I = 19; hkl 1 1 2, 2θ 29.62, I = 21; hkl 2 2 1, 2θ 30.83, I = 40; hkl 4 2 -1, 2θ 36.22, I = 16; hkl 4 2 -3, 2θ 45.64, I = 15; hkl 5 3 -2, 2θ 50.93, I = 15

Crystal structure
Unit cell a=12.3686 b=8.3722 c=7.7384 alpha=90.00 beta=108.10 gamma=90.00
Space group C2/m (No. 12)
One atom of each set of equivalent atoms:
Ag1 0.0000 0.0000 0.0000 [2 per cell]
Br1 0.1660 0.5000 0.5894 [4 per cell]
Cl1 0.0279 0.5000 0.7363 [4 per cell]
Cl2 0.1399 0.1958 0.0669 [8 per cell]
Cl3 0.1987 0.0000 0.5563 [4 per cell]


# 3
# Cu2Si2Sb
Calculated powder X-ray diffraction pattern, a wavelength of 1.5418 Å. Input: DFT lattice parameters and positions (GGA-PBE).
No peak broadening, texture or thermal motion is included.

Top 10 peaks for 5° ≤ 2θ ≤ 70°, by angle:
hkl 1 1 0, 2θ 16.05, I = 25; hkl 2 1 0, 2θ 25.51, I = 21; hkl 2 2 0, 2θ 32.43, I = 37; hkl 3 1 0, 2θ 36.39, I = 100; hkl 1 1 1, 2θ 37.29, I = 31; hkl 2 0 1, 2θ 40.84, I = 59; hkl 2 1 1, 2θ 42.52, I = 55; hkl 4 1 0, 2θ 48.04, I = 12; hkl 4 2 0, 2θ 52.40, I = 17; hkl 3 3 1, 2θ 61.08, I = 25

Crystal structure
Unit cell a=7.8082 b=7.8082 c=2.6802 alpha=90.00 beta=90.00 gamma=90.00
Space group P4/mbm (No. 127)
One atom of each set of equivalent atoms:
Cu1 0.1687 0.3313 0.0000 [4 per cell]
Si1 0.1214 0.6214 0.5000 [4 per cell]
Sb1 0.0000 0.0000 0.5000 [2 per cell]


# 4
# Ce5Ge2Ir2
Calculated powder X-ray diffraction pattern, a wavelength of 1.5418 Å. Input: DFT lattice parameters and positions (GGA-PBE).
No peak broadening, texture or thermal motion is included.

Top 10 peaks for 5° ≤ 2θ ≤ 70°, by angle:
hkl 3 1 2, 2θ 31.61, I = 90; hkl 0 2 2, 2θ 32.58, I = 67; hkl 4 2 0, 2θ 34.02, I = 31; hkl 5 1 1, 2θ 35.06, I = 48; hkl 4 2 1, 2θ 35.95, I = 41; hkl 1 1 3, 2θ 36.80, I = 53; hkl 6 0 0, 2θ 37.35, I = 100; hkl 3 3 1, 2θ 41.49, I = 24; hkl 5 1 3, 2θ 48.37, I = 32; hkl 5 3 1, 2θ 48.85, I = 30

Crystal structure
Unit cell a=14.4623 b=7.6975 c=7.8507 alpha=90.00 beta=90.00 gamma=90.00
Space group Cmce (No. 64)
One atom of each set of equivalent atoms:
Ce1 0.0000 0.0000 0.0000 [4 per cell]
Ce2 0.1473 0.1776 0.3387 [16 per cell]
Ge1 0.0000 0.1224 0.6245 [8 per cell]
Ir1 0.1925 0.0000 0.0000 [8 per cell]


# 5
# Rb2Li2TeO6
Calculated powder X-ray diffraction pattern, a wavelength of 1.5418 Å. Input: DFT lattice parameters and positions (GGA-PBE).
No peak broadening, texture or thermal motion is included.

Top 10 peaks for 5° ≤ 2θ ≤ 70°, by angle:
hkl 1 0 1, 2θ 23.27, I = 100; hkl 0 0 2, 2θ 28.12, I = 15; hkl 1 1 0, 2θ 32.38, I = 32; hkl 2 0 1, 2θ 40.26, I = 19; hkl 1 1 2, 2θ 43.41, I = 47; hkl 1 0 3, 2θ 46.95, I = 12; hkl 2 1 1, 2θ 52.58, I = 19; hkl 3 0 0, 2θ 57.76, I = 12; hkl 0 0 4, 2θ 58.18, I = 11; hkl 2 -1 4, 2θ 68.16, I = 21

Crystal structure
Unit cell a=5.5290 b=5.5290 c=6.3476 alpha=90.00 beta=90.00 gamma=120.00
Space group P-31m (No. 162)
One atom of each set of equivalent atoms:
Rb1 0.3333 0.6667 0.0000 [2 per cell]
Li1 0.3333 0.6667 0.5000 [2 per cell]
Te1 0.0000 0.0000 0.5000 [1 per cell]
O1 0.0000 0.2943 0.3317 [6 per cell]


# 6
# Tb6HoMg2
Calculated powder X-ray diffraction pattern, a wavelength of 1.5418 Å. Input: DFT lattice parameters and positions (GGA-PBE).
No peak broadening, texture or thermal motion is included.

Top 10 peaks for 5° ≤ 2θ ≤ 70°, by angle:
hkl 1 1 -1, 2θ 12.66, I = 17; hkl 0 4 0, 2θ 30.87, I = 36; hkl 1 1 2, 2θ 31.29, I = 60; hkl 3 1 -3, 2θ 31.58, I = 66; hkl 4 2 -1, 2θ 32.49, I = 100; hkl 3 3 -2, 2θ 32.76, I = 19; hkl 0 4 1, 2θ 33.31, I = 27; hkl 1 3 2, 2θ 38.40, I = 32; hkl 3 3 -3, 2θ 38.64, I = 21; hkl 2 2 -5, 2θ 57.73, I = 26

Crystal structure
Unit cell a=12.9283 b=11.5862 c=8.8452 alpha=90.00 beta=124.98 gamma=90.00
Space group C2/c (No. 15)
One atom of each set of equivalent atoms:
Tb1 0.0421 0.1267 0.4688 [8 per cell]
Tb2 0.1093 0.4113 0.1895 [8 per cell]
Tb3 0.2280 0.3446 0.6388 [8 per cell]
Ho1 0.0000 0.3258 0.7500 [4 per cell]
Mg1 0.1870 0.1045 0.9299 [8 per cell]